Record 1
The following is a computed powder diffractogram of Pa2Ga3Pt. It was derived from DFT lattice parameters and positions (PBE), using Cu Kα X-rays.
Kinematic intensities with the Lorentz-polarization factor, no thermal factor.

Main lines, sorted by position (10° ≤ 2θ ≤ 90°):
d/Å, I/Imax
7.716, 9
3.878, 15
2.584, 100
2.243, 19
2.231, 37
1.693, 19
1.370, 16
1.352, 10

```
data_Pa2Ga3Pt
_chemical_formula_sum 'Pa2 Ga3 Pt1'
_space_group_name_H-M_alt 'P 1'
_space_group_IT_number 1
_space_group_name_Hall 'P 1'
_cell_length_a 3.471
_cell_length_b 4.485
_cell_length_c 7.716
_cell_angle_alpha 90.00
_cell_angle_beta 90.00
_cell_angle_gamma 90.00
loop_
_atom_site_label
_atom_site_fract_x
_atom_site_fract_y
_atom_site_fract_z
Pa1 0.000 0.000 0.000
Pa2 0.000 0.500 0.481
Ga1 0.500 0.000 0.660
Ga2 0.500 0.500 0.152
Ga3 0.500 0.500 0.819
Pt1 0.500 0.000 0.324
```


Record 2
The following is a computed powder diffractogram of TmGaPbS3. It was derived from DFT lattice parameters and positions (PBE), using Cu Kα X-rays.
Kinematic intensities with the Lorentz-polarization factor, no thermal factor.

Main lines, sorted by position (10° ≤ 2θ ≤ 90°):
d/Å, I/Imax
4.304, 100
3.532, 28
3.476, 23
3.060, 34
3.040, 95
2.653, 46
2.144, 42
1.999, 57

```
data_TmGaPbS3
_chemical_formula_sum 'Tm2 Ga2 Pb2 S6'
_space_group_name_H-M_alt 'P 1'
_space_group_IT_number 1
_space_group_name_Hall 'P 1'
_cell_length_a 7.607
_cell_length_b 7.607
_cell_length_c 10.614
_cell_angle_alpha 90.00
_cell_angle_beta 90.00
_cell_angle_gamma 150.50
loop_
_atom_site_label
_atom_site_fract_x
_atom_site_fract_y
_atom_site_fract_z
Tm1 0.000 0.000 0.000
Tm2 0.000 0.000 0.500
Ga1 0.367 0.633 0.750
Ga2 0.633 0.367 0.250
Pb1 0.296 0.704 0.250
Pb2 0.704 0.296 0.750
S1 0.026 0.974 0.250
S2 0.373 0.627 0.007
S3 0.373 0.627 0.493
S4 0.627 0.373 0.507
S5 0.627 0.373 0.993
S6 0.974 0.026 0.750
```